Structure and calculated XRD peak list of AcSe3O9 (a PBE-relaxed structure; copper Kα).
Peak positions follow from Bragg's law for the DFT cell and can differ from measured ones.

Largest 10 diffraction maxima, in order of rising 2θ, 2θ from 5° to 70°:
d (Å)	Position (°2θ)	I (rel.)
6.587	13.44	26.2
3.964	22.43	100.0
3.892	22.85	56.2
3.714	23.96	44.0
3.544	25.13	50.2
3.293	27.08	28.2
3.235	27.57	31.6
2.777	32.23	27.8
2.642	33.93	32.3
2.464	36.46	30.4

Cell and atoms:
Cell lengths 8.408, 13.173, 7.929 Å; angles 90.00, 90.00, 90.00 degrees
Space group C222_1 (No. 20)
Inequivalent atoms, fractional coordinates:
Ac1 0.143 0.000 0.000
Se1 0.018 0.295 0.014
Se2 0.222 0.500 0.000
O1 0.000 0.306 0.250
O2 0.027 0.176 0.942
O3 0.119 0.373 0.574
O4 0.148 0.002 0.666
O5 0.204 0.341 0.967

***

Structure and calculated XRD peak list of AcMoN3 (a PBE-relaxed structure; copper Kα).
Peak positions follow from Bragg's law for the DFT cell and can differ from measured ones.

Largest 10 diffraction maxima, in order of rising 2θ, 2θ from 5° to 70°:
d (Å)	Position (°2θ)	I (rel.)
5.218	16.99	27.9
3.515	25.34	100.0
3.309	26.95	22.8
3.069	29.10	56.0
3.055	29.23	26.4
2.922	30.60	58.7
2.609	34.37	17.9
2.353	38.25	16.9
1.973	46.01	21.5
1.672	54.91	18.1

Cell and atoms:
Cell lengths 10.906, 10.575, 6.415 Å; angles 90.00, 106.86, 90.00 degrees
Space group C2/c (No. 15)
Inequivalent atoms, fractional coordinates:
Ac1 0.000 0.095 0.250
Ac2 0.000 0.320 0.750
Mo1 0.210 0.412 0.258
N1 0.116 0.113 0.657
N2 0.132 0.267 0.150
N3 0.156 0.477 0.508

***

Structure and calculated XRD peak list of CsZr6CI14 (a PBE-relaxed structure; copper Kα).
Peak positions follow from Bragg's law for the DFT cell and can differ from measured ones.

Largest 10 diffraction maxima, in order of rising 2θ, 2θ from 5° to 70°:
d (Å)	Position (°2θ)	I (rel.)
8.537	10.36	55.7
3.446	25.85	43.6
3.356	26.56	93.6
3.303	26.99	39.7
3.140	28.42	88.5
2.773	32.28	100.0
2.181	41.40	32.5
2.008	45.15	27.7
1.874	48.58	25.8
1.723	53.16	26.6

Cell and atoms:
Cell lengths 16.063, 15.586, 13.212 Å; angles 90.00, 90.00, 90.00 degrees
Space group Cmce (No. 64)
Inequivalent atoms, fractional coordinates:
Cs1 0.000 0.000 0.000
Zr1 0.000 0.122 0.409
Zr2 0.104 0.057 0.607
C1 0.000 0.000 0.500
I1 0.000 0.143 0.758
I2 0.123 0.089 0.255
I3 0.125 0.225 0.510
I4 0.249 0.000 0.000
I5 0.250 0.137 0.750

***

Structure and calculated XRD peak list of Dy3Sn2Ru (a PBE-relaxed structure; copper Kα).
Peak positions follow from Bragg's law for the DFT cell and can differ from measured ones.

Largest 10 diffraction maxima, in order of rising 2θ, 2θ from 5° to 70°:
d (Å)	Position (°2θ)	I (rel.)
3.372	26.44	27.5
3.034	29.44	58.3
2.882	31.03	100.0
2.810	31.85	27.7
2.742	32.66	45.9
2.665	33.63	55.0
2.618	34.25	26.4
2.474	36.31	74.0
2.243	40.20	49.2
2.175	41.51	64.5

Cell and atoms:
Cell lengths 12.464, 4.351, 11.540 Å; angles 90.00, 90.00, 90.00 degrees
Space group Pnma (No. 62)
Inequivalent atoms, fractional coordinates:
Dy1 0.055 0.250 0.128
Dy2 0.121 0.750 0.545
Dy3 0.245 0.250 0.785
Sn1 0.005 0.250 0.694
Sn2 0.189 0.750 0.993
Ru1 0.126 0.250 0.366

***

Structure and calculated XRD peak list of GaPHIrPtS (a PBE-relaxed structure; copper Kα).
Peak positions follow from Bragg's law for the DFT cell and can differ from measured ones.

Largest 10 diffraction maxima, in order of rising 2θ, 2θ from 5° to 70°:
d (Å)	Position (°2θ)	I (rel.)
3.640	24.45	100.0
3.452	25.81	64.2
3.125	28.56	41.3
2.916	30.66	30.2
2.863	31.24	71.6
2.829	31.63	52.0
2.747	32.60	50.7
2.425	37.07	23.8
1.849	49.28	22.6
1.803	50.62	25.0

Cell and atoms:
Cell lengths 3.617, 4.641, 5.517 Å; angles 93.04, 94.30, 90.48 degrees
Space group P1 (No. 1)
Inequivalent atoms, fractional coordinates:
Ga1 0.000 0.000 0.000
P1 0.522 0.535 0.251
H1 0.106 0.415 0.701
Ir1 0.038 0.273 0.390
Pt1 0.481 0.678 0.849
S1 0.537 0.941 0.485

***

Structure and calculated XRD peak list of Dy5HoTl5 (a PBE-relaxed structure; copper Kα).
Peak positions follow from Bragg's law for the DFT cell and can differ from measured ones.

Largest 10 diffraction maxima, in order of rising 2θ, 2θ from 5° to 70°:
d (Å)	Position (°2θ)	I (rel.)
3.032	29.46	55.2
2.924	30.58	100.0
2.881	31.04	61.3
2.792	32.06	70.4
2.668	33.59	61.0
2.474	36.31	34.7
2.364	38.06	26.4
2.105	42.97	40.2
2.052	44.13	19.6
1.971	46.05	51.7

Cell and atoms:
Cell lengths 16.230, 5.847, 7.103 Å; angles 90.00, 99.45, 90.00 degrees
Space group C2/m (No. 12)
Inequivalent atoms, fractional coordinates:
Dy1 0.000 0.000 0.000
Dy2 0.136 0.500 0.904
Dy3 0.175 0.500 0.415
Ho1 0.000 0.000 0.500
Tl1 0.000 0.500 0.500
Tl2 0.169 0.000 0.774
Tl3 0.175 0.000 0.229

***

Structure and calculated XRD peak list of AcCe2RuN4 (a PBE-relaxed structure; copper Kα).
Peak positions follow from Bragg's law for the DFT cell and can differ from measured ones.

Largest 10 diffraction maxima, in order of rising 2θ, 2θ from 5° to 70°:
d (Å)	Position (°2θ)	I (rel.)
3.313	26.91	57.9
3.052	29.26	55.1
2.957	30.22	44.4
2.934	30.47	100.0
2.596	34.56	38.1
2.426	37.05	70.2
2.124	42.56	20.8
1.899	47.89	25.5
1.768	51.70	21.8
1.511	61.36	19.9

Cell and atoms:
Cell lengths 3.515, 12.209, 11.832 Å; angles 90.00, 90.00, 90.00 degrees
Space group Cmcm (No. 63)
Inequivalent atoms, fractional coordinates:
Ac1 0.000 0.105 0.250
Ce1 0.000 0.368 0.050
Ru1 0.000 0.154 0.750
N1 0.000 0.000 0.000
N2 0.000 0.265 0.618
N3 0.000 0.444 0.250

***

Structure and calculated XRD peak list of Cs2KH6Ru (a PBE-relaxed structure; copper Kα).
Peak positions follow from Bragg's law for the DFT cell and can differ from measured ones.

Largest 10 diffraction maxima, in order of rising 2θ, 2θ from 5° to 70°:
d (Å)	Position (°2θ)	I (rel.)
6.516	13.59	53.3
4.219	21.06	82.5
3.197	27.91	100.0
2.870	31.16	40.9
2.808	31.87	68.6
2.548	35.22	23.6
2.110	42.87	30.9
1.993	45.52	20.8
1.846	49.38	19.8
1.761	51.93	33.5

Cell and atoms:
Cell lengths 6.3935, 6.3935, 6.5161 Å; angles 90.00, 90.00, 120.00 degrees
Space group P-3m1 (No. 164)
Inequivalent atoms, fractional coordinates:
Cs1 0.3333 0.6667 0.1524
K1 0.0000 0.0000 0.5000
H1 0.1284 0.2567 0.8453
Ru1 0.0000 0.0000 0.0000

***

Structure and calculated XRD peak list of Cu6NiRh2 (a PBE-relaxed structure; copper Kα).
Peak positions follow from Bragg's law for the DFT cell and can differ from measured ones.

Largest 10 diffraction maxima, in order of rising 2θ, 2θ from 5° to 70°:
d (Å)	Position (°2θ)	I (rel.)
5.584	15.87	2.8
4.302	20.65	1.3
3.340	26.69	0.8
3.074	29.05	1.6
2.677	33.48	1.1
2.465	36.44	1.3
2.124	42.57	100.0
2.118	42.70	33.0
1.850	49.25	21.4
1.832	49.78	41.3

Cell and atoms:
Cell lengths 4.496, 4.520, 5.793 Å; angles 82.80, 75.33, 80.02 degrees
Space group P-1 (No. 2)
Inequivalent atoms, fractional coordinates:
Cu1 0.050 0.110 0.285
Cu2 0.159 0.334 0.828
Cu3 0.279 0.555 0.397
Ni1 0.500 0.000 0.500
Rh1 0.395 0.776 0.941

***

Structure and calculated XRD peak list of HoNpZn17 (a PBE-relaxed structure; copper Kα).
Peak positions follow from Bragg's law for the DFT cell and can differ from measured ones.

Largest 10 diffraction maxima, in order of rising 2θ, 2θ from 5° to 70°:
d (Å)	Position (°2θ)	I (rel.)
3.138	28.45	37.2
2.588	34.66	42.2
2.512	35.74	24.9
2.241	40.24	58.4
2.230	40.45	100.0
2.197	41.09	30.6
2.181	41.41	20.4
1.996	45.43	16.8
1.568	58.89	23.1
1.415	66.05	17.0

Cell and atoms:
Cell lengths 8.9650, 8.9650, 13.1796 Å; angles 90.00, 90.00, 120.00 degrees
Space group R3m (No. 160, hexagonal axes)
Inequivalent atoms, fractional coordinates:
Ho1 0.0000 0.0000 0.0000
Np1 0.0000 0.0000 0.6706
Zn1 0.0000 0.0000 0.2352
Zn2 0.0000 0.0000 0.4355
Zn3 0.9996 0.2970 0.3354
Zn4 0.0112 0.5056 0.4866
Zn5 0.1673 0.3346 0.1692
Zn6 0.1711 0.3422 0.5169

***

Structure and calculated XRD peak list of CdRh2O6 (a PBE-relaxed structure; copper Kα).
Peak positions follow from Bragg's law for the DFT cell and can differ from measured ones.

Largest 10 diffraction maxima, in order of rising 2θ, 2θ from 5° to 70°:
d (Å)	Position (°2θ)	I (rel.)
4.680	18.96	10.7
3.263	27.34	100.0
2.627	34.13	43.4
2.340	38.47	7.2
2.291	39.33	10.7
2.046	44.27	25.0
1.747	52.36	43.2
1.614	57.05	24.2
1.517	61.10	15.4
1.476	62.98	8.4

Cell and atoms:
Cell lengths 5.2539, 5.2539, 4.6805 Å; angles 90.00, 90.00, 120.00 degrees
Space group P-31m (No. 162)
Inequivalent atoms, fractional coordinates:
Cd1 0.0000 0.0000 0.0000
Rh1 0.3333 0.6667 0.5000
O1 0.0000 0.3718 0.7271